KLiEr2Mo4O16: theoretical X-ray diffraction stick pattern (Cu Kα (λ = 1.5418 Å)), based on a PBE+U-relaxed structure.
Peak positions follow from Bragg's law for the DFT cell and can differ from measured ones.

Crystal structure
Cell lengths 6.867, 6.867, 19.809 Å; angles 91.63, 91.63, 135.09 degrees
Positions (direct):
1 K 0.032 0.968 0.750
2 K 0.968 0.032 0.250
3 Li 0.313 0.687 0.750
4 Li 0.687 0.313 0.250
5 Er 0.145 0.851 0.531
6 Er 0.149 0.855 0.969
7 Er 0.851 0.145 0.031
8 Er 0.855 0.149 0.469
9 Mo 0.239 0.728 0.355
10 Mo 0.272 0.761 0.145
11 Mo 0.415 0.540 0.909
12 Mo 0.460 0.585 0.591
13 Mo 0.540 0.415 0.409
14 Mo 0.585 0.460 0.091
15 Mo 0.728 0.239 0.855
16 Mo 0.761 0.272 0.645
17 O 0.013 0.745 0.168
18 O 0.049 0.574 0.434
19 O 0.064 0.474 0.287
20 O 0.096 0.405 0.128
21 O 0.165 0.500 0.960
22 O 0.215 0.256 0.538
23 O 0.222 0.323 0.401
24 O 0.255 0.987 0.332
25 O 0.256 0.215 0.038
26 O 0.310 0.492 0.670
27 O 0.323 0.222 0.901
28 O 0.405 0.096 0.628
29 O 0.426 0.951 0.066
30 O 0.474 0.064 0.787
31 O 0.492 0.310 0.170
32 O 0.500 0.165 0.460
33 O 0.500 0.835 0.540
34 O 0.508 0.690 0.830
35 O 0.526 0.936 0.213
36 O 0.574 0.049 0.934
37 O 0.595 0.904 0.372
38 O 0.677 0.778 0.099
39 O 0.690 0.508 0.330
40 O 0.744 0.785 0.962
41 O 0.745 0.013 0.668
42 O 0.778 0.677 0.599
43 O 0.785 0.744 0.462
44 O 0.835 0.500 0.040
45 O 0.904 0.595 0.872
46 O 0.936 0.526 0.713
47 O 0.951 0.426 0.566
48 O 0.987 0.255 0.832

Main lines, most intense first (2θ from 10° to 90°):
28.17°, I 100; 26.64°, I 52; 30.18°, I 44; 27.70°, I 37; 24.86°, I 34; 27.11°, I 34; 34.28°, I 31; 29.01°, I 29; 29.78°, I 28; 57.26°, I 26